1.
Starting from a DFT-relaxed cell (GGA+U, the Materials Project), the powder X-ray diffraction pattern of CsFeBP2HO9 was computed for Cu Kα, 1.54184 Å.

Top 10 peaks for 2θ = 10–80°, in order of rising 2θ:
d_spacing, 2theta, intensity
4.746, 18.7, 31
4.622, 19.2, 26
3.787, 23.5, 51
3.538, 25.2, 100
3.477, 25.6, 22
3.075, 29.0, 54
3.026, 29.5, 28
2.959, 30.2, 26
2.887, 31.0, 30
2.334, 38.6, 18

Structural model:
```
60
Lattice="9.4816 0.0000 0.0000 0.0000 8.7237 0.0000 -2.2095 0.0000 9.6880" Properties=species:S:1:pos:R:3 pbc="T T T"
Cs 1.7169 0.9505 0.5283
Cs 0.6122 3.4113 5.3723
Cs 6.6598 5.3124 4.3157
Cs 5.5551 7.7732 9.1597
Fe -0.1013 5.7019 9.0003
Fe 1.0035 7.3836 4.1563
Fe 6.2686 1.3401 5.5317
Fe 7.3733 3.0218 0.6877
B 1.6923 0.3809 6.7563
B 2.7971 3.9810 1.9123
B 4.4750 4.7427 7.7757
B 5.5797 8.3428 2.9317
P 0.2639 4.9912 1.9583
P -0.8408 8.0944 6.8022
P 2.3902 6.3957 6.9153
P 3.4949 6.6898 2.0713
P 3.7771 2.0339 7.6166
P 4.8819 2.3280 2.7726
P 8.1129 0.6293 2.8857
P 7.0081 3.7325 7.7297
H 2.6521 0.7498 4.9383
H 3.7569 3.6120 0.0943
H 3.5151 5.1117 9.5936
H 4.6199 7.9738 4.7496
O -1.1026 4.3994 7.8765
O 0.0022 8.6861 3.0326
O 0.6682 5.8070 0.7209
O -0.4366 7.2785 5.5649
O 0.2032 5.8350 3.2500
O -0.9016 7.2505 8.0940
O 0.2515 0.4998 7.0553
O 1.3562 3.8621 2.2113
O 1.8163 0.3583 5.2664
O 2.9211 4.0036 0.4224
O 1.4558 5.5095 7.7477
O 2.5606 7.5760 2.9037
O 2.1742 6.2699 5.4070
O 3.2790 6.8156 0.5630
O 2.2917 1.6139 7.3004
O 3.3964 2.7480 2.4565
O 3.4152 5.1877 2.5334
O 2.3105 7.8978 7.3774
O 4.9616 0.8259 2.3105
O 3.8568 3.5359 7.1545
O 3.8756 5.9757 7.2315
O 4.9804 7.1098 2.3875
O 3.9930 1.9081 9.1250
O 5.0978 2.4537 4.2810
O 4.7115 1.1477 6.7843
O 5.8162 3.2142 1.9403
O 4.3510 4.7201 9.2655
O 5.4557 8.3654 4.4216
O 5.9158 4.8616 7.4767
O 7.0206 8.2239 2.6327
O 8.1736 1.4732 1.5940
O 7.0689 2.8887 6.4380
O 7.7086 1.4452 4.1231
O 6.6038 2.9167 8.9671
O 7.2699 0.0376 6.6554
O 8.3746 4.3243 1.8114
```


2.
Starting from a DFT-relaxed cell (GGA+U, the Materials Project), the powder X-ray diffraction pattern of CsV3B2P4H8O22 was computed for Cu Kα, 1.54184 Å.

Top 10 peaks for 2θ = 10–80°, in order of rising 2θ:
d_spacing, 2theta, intensity
4.867, 18.2, 30
4.080, 21.8, 77
3.923, 22.7, 37
3.749, 23.7, 20
3.664, 24.3, 23
3.354, 26.6, 100
3.257, 27.4, 28
2.982, 30.0, 23
2.772, 32.3, 41
1.677, 54.7, 21

Structural model:
```
40
Lattice="4.8393 -9.3718 0.0000 4.8393 9.3718 0.0000 -1.8018 0.0000 4.8042" Properties=species:S:1:pos:R:3 pbc="T T T"
Cs 0.0000 0.0000 0.0000
V 2.4197 4.6859 0.0000
V 2.4197 -4.6859 0.0000
V 3.9384 0.0000 2.4021
B 3.9384 6.2654 2.4021
B 3.9384 -6.2654 2.4021
P 1.8173 2.6182 2.5079
P 1.8173 -2.6182 2.5079
P 6.0595 2.6182 2.2962
P 6.0595 -2.6182 2.2962
H 3.2262 4.7164 3.5644
H 4.6507 4.7164 1.2398
H 1.7070 0.7684 4.6497
H 1.7070 -0.7684 4.6497
H 6.1698 0.7684 0.1545
H 6.1698 -0.7684 0.1545
H 3.2262 -4.7164 3.5644
H 4.6507 -4.7164 1.2398
O 0.2828 2.2111 2.4326
O 2.3181 3.0087 1.1112
O 1.9694 3.7544 3.5421
O 3.9060 5.3989 1.1979
O 0.2828 -2.2111 2.4326
O 3.9708 5.3989 3.6062
O 2.5620 1.3605 3.0038
O 3.2053 0.0000 0.3928
O 2.3181 -3.0087 1.1112
O 2.5620 -1.3605 3.0038
O 5.9074 3.7544 1.2621
O 1.9694 -3.7544 3.5421
O 5.3148 1.3605 1.8004
O 5.5587 3.0087 3.6930
O 4.6715 0.0000 4.4113
O 5.3148 -1.3605 1.8004
O 3.9060 -5.3989 1.1979
O 7.5940 2.2111 2.3715
O 3.9708 -5.3989 3.6062
O 5.9074 -3.7544 1.2621
O 5.5587 -3.0087 3.6930
O 7.5940 -2.2111 2.3715
```


3.
Starting from a DFT-relaxed cell (GGA+U, the Materials Project), the powder X-ray diffraction pattern of FeCu2BO5 was computed for Cu Kα, 1.54184 Å.

Top 10 peaks for 2θ = 10–80°, in order of rising 2θ:
d_spacing, 2theta, intensity
5.160, 17.2, 44
5.119, 17.3, 47
4.821, 18.4, 48
2.808, 31.9, 100
2.774, 32.3, 36
2.580, 34.8, 89
2.559, 35.1, 91
2.456, 36.6, 56
2.410, 37.3, 51
2.378, 37.8, 30

Structural model:
```
36
Lattice="3.1455 0.0000 0.0000 1.4248 9.6420 0.0000 0.0979 0.1080 12.1483" Properties=species:S:1:pos:R:3 pbc="T T T"
Fe 0.0000 0.0000 0.0000
Fe 0.8400 4.9463 3.1950
Fe 3.5195 4.6066 9.3168
Fe 3.3618 2.2434 4.7026
Cu 2.2846 7.0509 8.0264
Cu 1.7352 2.2750 7.3718
Cu 2.4606 7.1370 4.6798
Cu 1.8118 2.3522 10.7384
Cu 1.8308 2.3269 1.9709
Cu 2.6229 7.1804 1.2580
Cu 4.1788 9.3118 6.1027
Cu 4.0910 7.1815 10.7280
B 3.5643 4.8684 6.2900
B 4.3425 9.7015 9.0790
B 3.7608 4.5447 0.2238
B 4.5452 9.3622 3.0328
O 0.7168 3.9363 1.4632
O 1.5107 8.7281 1.8129
O 1.9827 5.9173 9.6710
O 2.4270 8.0191 6.4176
O 1.9125 3.3001 8.9944
O 1.8908 3.3431 3.7151
O 1.6130 1.3024 0.3431
O 2.3825 6.1474 2.8946
O 1.7889 1.3293 5.5990
O 3.0736 8.4394 11.8035
O 3.4482 5.5142 7.4976
O 2.8089 0.6690 7.8529
O 3.6008 5.5701 5.0962
O 2.9904 0.8080 10.2496
O 3.7207 5.9299 0.1799
O 3.0878 1.1104 3.0493
O 3.6532 3.4902 6.2695
O 4.4016 8.3162 9.1474
O 3.7769 3.9055 11.2179
O 4.4429 8.6396 4.2009
```


4.
Starting from a DFT-relaxed cell (GGA+U, the Materials Project), the powder X-ray diffraction pattern of FeCu2BO5 was computed for Cu Kα, 1.54184 Å.

Top 10 peaks for 2θ = 10–80°, in order of rising 2θ:
d_spacing, 2theta, intensity
5.140, 17.3, 51
4.782, 18.6, 28
2.781, 32.2, 49
2.769, 32.3, 32
2.570, 34.9, 100
2.457, 36.6, 57
2.391, 37.6, 26
2.346, 38.4, 29
2.174, 41.5, 26
2.060, 43.9, 26

Structural model:
```
36
Lattice="3.1352 0.0000 0.0000 0.0000 12.1889 0.0000 -1.2888 0.0000 9.5650" Properties=species:S:1:pos:R:3 pbc="T T T"
Fe -0.1278 1.4357 2.2429
Fe -0.7722 4.6588 7.0254
Fe 2.6186 7.5301 2.5396
Fe 1.9742 10.7532 7.3220
Cu -0.6444 0.0000 4.7825
Cu 0.0000 6.0944 0.0000
Cu 1.4145 8.8069 0.0911
Cu 0.7701 9.4764 4.8736
Cu 1.5676 0.0000 0.0000
Cu 0.9232 6.0944 4.7825
Cu 1.0763 2.7124 4.6914
Cu 0.4319 3.3820 9.4738
B -0.8328 1.6289 7.3004
B -0.1884 4.4656 2.5179
B 2.0348 7.7233 7.0470
B 2.6792 10.5600 2.2645
O -1.0171 7.6899 8.4262
O -0.3727 10.5934 3.6437
O -0.9164 0.4628 8.0356
O -0.2720 5.6317 3.2531
O -0.7006 2.8483 7.9232
O -0.0562 3.2462 3.1407
O 1.0848 7.1671 1.2160
O 0.4404 11.1162 5.9985
O 1.0240 7.8626 3.8328
O 0.3796 10.4207 8.6153
O 1.4668 1.7681 0.9497
O 0.8224 4.3263 5.7322
O 1.4061 1.0727 3.5665
O 0.7617 5.0217 8.3490
O 1.9026 8.9427 6.4243
O 2.5470 9.3406 1.6418
O 2.1184 6.5572 6.3118
O 2.7628 11.7261 1.5293
O 2.2191 1.5955 5.9213
O 2.8635 4.4989 1.1388
```


5.
Starting from a DFT-relaxed cell (GGA+U, the Materials Project), the powder X-ray diffraction pattern of ErFe3B4O12 was computed for Cu Kα, 1.54184 Å.

Top 10 peaks for 2θ = 10–80°, in order of rising 2θ:
d_spacing, 2theta, intensity
5.633, 15.7, 37
4.808, 18.5, 29
3.657, 24.3, 84
2.911, 30.7, 29
2.816, 31.8, 100
2.430, 37.0, 20
2.404, 37.4, 26
1.977, 45.9, 20
1.749, 52.3, 30
1.737, 52.7, 21

Structural model:
```
20
Lattice="4.8085 2.7762 2.5490 -4.8085 2.7762 2.5490 0.0000 -5.5524 2.5490" Properties=species:S:1:pos:R:3 pbc="T T T"
Er 0.0000 0.0000 0.0000
Fe -2.1635 -1.8051 2.5490
Fe -0.4815 2.7762 2.5490
Fe -2.1635 1.8051 5.0979
B -4.3133 0.0000 3.8234
B 2.1567 -3.7355 3.8234
B 0.0000 0.0000 3.8234
B 2.1567 3.7355 3.8234
O -3.6868 -1.2329 3.7300
O -1.9608 -3.3963 3.8234
O -3.6868 1.2329 3.9169
O -0.6915 -1.1978 3.8234
O 0.7756 -3.8093 3.9169
O -0.6915 1.1978 3.8234
O -1.9608 3.3963 3.8234
O 2.9112 -2.5764 3.7299
O 1.3831 0.0000 3.8234
O 0.7756 3.8093 3.7299
O 3.9217 0.0000 3.8234
O 2.9111 2.5764 3.9169
```